[1]
Calculated powder diffractogram of TlHg2Pb for Cu Kα X-rays, from a structure optimized by DFT (GGA-PBE).
Kinematic intensities with the Lorentz-polarization factor, no thermal factor.

Principal peaks in the range 15° ≤ 2θ ≤ 90°, by angle:
- hkl 1 0 2, 2θ 32.04, I 100
- hkl 1 1 0, 2θ 36.18, I 36
- hkl 0 0 4, 2θ 39.09, I 15
- hkl 2 0 0, 2θ 52.09, I 13
- hkl 1 1 4, 2θ 54.31, I 23
- hkl 2 1 2, 2θ 62.48, I 31
- hkl 1 0 6, 2θ 66.42, I 13
- hkl 2 0 4, 2θ 67.01, I 12
- hkl 3 0 2, 2θ 85.62, I 7
- hkl 2 1 6, 2θ 89.17, I 12

abc: 3.5114 3.5114 9.2181
angles: 90.00 90.00 90.00
Fractional coordinates of all 4 atoms:
Tl 0.0000 0.0000 0.0000
Hg 0.5000 0.5000 0.2519
Hg 0.5000 0.5000 0.7481
Pb 0.0000 0.0000 0.5000



[2]
Calculated powder diffractogram of LiAc3Re2N6 for Cu Kα X-rays, from a structure optimized by DFT (GGA-PBE).
Kinematic intensities with the Lorentz-polarization factor, no thermal factor.

Principal peaks in the range 15° ≤ 2θ ≤ 90°, by angle:
- hkl 1 0 1, 2θ 21.60, I 28
- hkl 1 1 0, 2θ 29.97, I 100
- hkl 0 1 2, 2θ 31.47, I 80
- hkl 2 0 2, 2θ 44.01, I 39
- hkl 3 0 0, 2θ 53.21, I 21
- hkl 1 2 2, 2θ 54.16, I 36
- hkl 1 0 4, 2θ 56.95, I 15
- hkl 2 2 0, 2θ 62.28, I 15
- hkl 3 1 2, 2θ 71.46, I 16
- hkl 2 1 4, 2θ 73.86, I 14

abc: 5.9627 5.9627 6.8107
angles: 90.00 90.00 120.00
Fractional coordinates of all 12 atoms:
Li 0.0000 0.0000 0.0000
Ac 0.0000 0.0000 0.5000
Ac 0.3333 0.6667 0.1835
Ac 0.6667 0.3333 0.8165
Re 0.3333 0.6667 0.7065
Re 0.6667 0.3333 0.2935
N 0.1665 0.3331 0.7926
N 0.1665 0.8335 0.7926
N 0.3331 0.1665 0.2074
N 0.6669 0.8335 0.7926
N 0.8335 0.1665 0.2074
N 0.8335 0.6669 0.2074



[3]
Calculated powder diffractogram of Np4PSe3 for Cu Kα X-rays, from a structure optimized by DFT (GGA-PBE).
Kinematic intensities with the Lorentz-polarization factor, no thermal factor.

Principal peaks in the range 15° ≤ 2θ ≤ 90°, by angle:
- hkl 1 2 -1, 2θ 26.78, I 42
- hkl 0 0 2, 2θ 26.89, I 14
- hkl 1 2 1, 2θ 31.06, I 100
- hkl 0 4 0, 2θ 44.35, I 13
- hkl 1 2 -3, 2θ 44.50, I 50
- hkl 2 0 2, 2θ 44.63, I 12
- hkl 0 4 2, 2θ 52.64, I 14
- hkl 2 4 -2, 2θ 55.13, I 13
- hkl 2 4 2, 2θ 64.74, I 12
- hkl 0 4 4, 2θ 73.53, I 17

abc: 7.0525 8.1708 7.0392
angles: 90.00 109.61 90.00
Fractional coordinates of all 16 atoms:
Np 0.2379 0.1185 0.0003
Np 0.2379 0.8815 0.5003
Np 0.2446 0.3681 0.4934
Np 0.2446 0.6319 0.9934
Np 0.7554 0.3681 0.0066
Np 0.7554 0.6319 0.5066
Np 0.7621 0.1185 0.4997
Np 0.7621 0.8815 0.9997
P 0.0000 0.1256 0.2500
P 0.0000 0.8744 0.7500
Se 0.0000 0.3754 0.7500
Se 0.0000 0.6246 0.2500
Se 0.5000 0.1250 0.7500
Se 0.5000 0.3755 0.2500
Se 0.5000 0.6245 0.7500
Se 0.5000 0.8750 0.2500



[4]
Calculated powder diffractogram of Pr5Sm2In4 for Cu Kα X-rays, from a structure optimized by DFT (GGA-PBE).
Kinematic intensities with the Lorentz-polarization factor, no thermal factor.

Principal peaks in the range 15° ≤ 2θ ≤ 90°, by angle:
- hkl 3 0 0, 2θ 30.36, I 29
- hkl 3 0 -1, 2θ 30.71, I 18
- hkl 1 1 -2, 2θ 31.55, I 40
- hkl 1 1 2, 2θ 32.58, I 100
- hkl 0 0 4, 2θ 33.23, I 44
- hkl 2 0 3, 2θ 33.60, I 21
- hkl 1 0 -4, 2θ 33.81, I 22
- hkl 2 1 -2, 2θ 35.77, I 41
- hkl 3 0 2, 2θ 36.11, I 17
- hkl 0 2 0, 2θ 52.12, I 18

abc: 8.8733 3.5099 10.8379
angles: 90.00 95.45 90.00
Fractional coordinates of all 11 atoms:
Pr 0.0000 0.0000 0.0000
Pr 0.0409 0.0000 0.3348
Pr 0.3432 0.0000 0.8594
Pr 0.6568 0.0000 0.1406
Pr 0.9591 0.0000 0.6652
Sm 0.4184 0.0000 0.3633
Sm 0.5816 0.0000 0.6367
In 0.2546 0.5000 0.5782
In 0.2988 0.5000 0.1236
In 0.7012 0.5000 0.8764
In 0.7454 0.5000 0.4218